Record 1
This entry pairs a crystal structure of DyU4Se7 with its calculated powder diffractogram. Radiation: Cu Kα X-rays. Structure: DFT lattice parameters and positions (GGA-PBE).
Intensities are scaled so that the largest is 100.

Structure:
```
12
Lattice="4.0410 0.0000 0.0000 -2.0205 3.4996 0.0000 0.0000 0.0000 23.9009" Properties=species:S:1:pos:R:3 pbc="T T T"
Dy 0.0000 0.0000 0.0000
U 0.0000 2.3331 3.4413
U 0.0000 2.3331 10.2199
U 2.0205 1.1665 13.6811
U 2.0205 1.1665 20.4596
Se 0.0000 0.0000 5.0209
Se 0.0000 0.0000 11.9505
Se 0.0000 0.0000 18.8801
Se 0.0000 2.3331 15.2689
Se 0.0000 2.3331 22.2244
Se 2.0205 1.1665 1.6765
Se 2.0205 1.1665 8.6320
```

Most intense lines, 2θ from 10° to 90°, low angle first:
d (Å)  Position (°2θ)  Rel. int.
7.967  11.11  19
3.463  25.73  17
3.020  29.58  100
2.629  34.10  35
2.272  39.67  22
2.021  44.86  42
1.974  45.98  32
1.679  54.66  18
1.304  72.47  24
1.291  73.30  16

---

Record 2
This entry pairs a crystal structure of Dy2YSe with its calculated powder diffractogram. Radiation: Cu Kα X-rays. Structure: DFT lattice parameters and positions (GGA-PBE).
Intensities are scaled so that the largest is 100.

Structure:
```
12
Lattice="3.7987 0.0000 0.0000 -1.8993 3.2898 0.0000 0.0000 0.0000 28.1936" Properties=species:S:1:pos:R:3 pbc="T T T"
Dy 0.0000 0.0000 0.0000
Dy 0.0000 0.0000 5.7046
Dy 0.0000 2.1932 18.7958
Dy 0.0000 2.1932 24.5004
Dy 1.8993 1.0966 9.3979
Dy 1.8993 1.0966 15.1025
Y 0.0000 0.0000 12.2327
Y 0.0000 2.1932 2.8348
Y 1.8993 1.0966 21.6306
Se 0.0000 0.0000 16.9465
Se 0.0000 2.1932 7.5486
Se 1.8993 1.0966 26.3444
```

Most intense lines, 2θ from 10° to 90°, low angle first:
d (Å)  Position (°2θ)  Rel. int.
3.268  27.29  17
3.204  27.85  15
3.133  28.49  17
2.981  29.97  32
2.842  31.48  100
2.548  35.22  18
2.141  42.21  29
1.899  47.89  36
1.624  56.68  15
1.579  58.45  17

---

Record 3
This entry pairs a crystal structure of Dy4Y2Se9 with its calculated powder diffractogram. Radiation: Cu Kα X-rays. Structure: DFT lattice parameters and positions (GGA-PBE).
Intensities are scaled so that the largest is 100.

Structure:
```
30
Lattice="7.2016 0.0000 0.0000 3.5978 6.2413 0.0000 0.0094 -0.0027 19.4827" Properties=species:S:1:pos:R:3 pbc="T T T"
Dy 1.7953 1.0415 3.5285
Dy 1.8053 1.0380 19.2006
Dy 1.8067 1.0378 9.4509
Dy 1.8126 1.0361 13.2748
Dy 8.9963 5.2025 6.2079
Dy 9.0021 5.2008 10.0317
Dy 9.0036 5.2006 0.2821
Dy 9.0136 5.1971 15.9542
Y 5.3987 3.1303 2.9649
Y 5.3970 3.1122 6.7819
Y 5.4119 3.1263 12.7008
Y 5.4101 3.1083 16.5178
Se 2.8927 3.3015 8.1193
Se 4.0073 5.1981 17.8568
Se 2.8923 2.9480 1.6252
Se 4.3069 5.3846 11.3641
Se 3.2119 3.1203 14.6097
Se 4.3026 5.0287 4.8766
Se 4.0011 1.0453 11.3602
Se 6.4990 5.3841 1.6181
Se 4.2965 1.2157 4.8687
Se 6.5124 5.0228 14.6140
Se 4.3099 0.8544 17.8646
Se 6.8077 5.1933 8.1225
Se 6.5063 1.2099 14.6061
Se 7.5970 3.1183 4.8730
Se 6.5019 0.8540 8.1185
Se 7.9166 3.2906 17.8575
Se 6.8015 1.0405 1.6258
Se 7.9162 2.9371 11.3634
```

Most intense lines, 2θ from 10° to 90°, low angle first:
d (Å)  Position (°2θ)  Rel. int.
5.254  16.88  42
3.839  23.17  51
3.602  24.72  30
3.150  28.33  70
2.627  34.13  35
2.412  37.28  100
2.122  42.60  32
2.080  43.52  64
1.575  58.61  25
1.256  75.76  21

---

Record 4
This entry pairs a crystal structure of Dy3YSe4 with its calculated powder diffractogram. Radiation: Cu Kα X-rays. Structure: DFT lattice parameters and positions (GGA-PBE).
Intensities are scaled so that the largest is 100.

Structure:
```
8
Lattice="5.7679 0.0000 0.0000 0.0000 5.7679 0.0000 0.0000 0.0000 5.7679" Properties=species:S:1:pos:R:3 pbc="T T T"
Dy 0.0000 0.0000 2.8839
Dy 0.0000 2.8839 0.0000
Dy 2.8839 0.0000 0.0000
Y 2.8839 2.8839 2.8839
Se 0.0000 0.0000 0.0000
Se 0.0000 2.8839 2.8839
Se 2.8839 0.0000 2.8839
Se 2.8839 2.8839 0.0000
```

Most intense lines, 2θ from 10° to 90°, low angle first:
d (Å)  Position (°2θ)  Rel. int.
5.768  15.36  3
3.330  26.77  15
2.884  31.01  100
2.039  44.42  74
1.739  52.63  7
1.665  55.16  26
1.442  64.64  12
1.323  71.27  3
1.290  73.42  33
1.177  81.81  25

---

Record 5
This entry pairs a crystal structure of Dy5Si4 with its calculated powder diffractogram. Radiation: Cu Kα X-rays. Structure: DFT lattice parameters and positions (GGA-PBE).
Intensities are scaled so that the largest is 100.

Structure:
```
9
Lattice="5.3001 -2.1476 0.0000 5.3001 2.1476 0.0000 -3.6155 0.0000 8.9630" Properties=species:S:1:pos:R:3 pbc="T T T"
Dy 0.0000 0.0000 0.0000
Dy -0.3314 0.0000 3.5079
Dy -0.3868 0.0000 7.4384
Dy 7.3716 0.0000 1.5247
Dy 7.3162 0.0000 5.4551
Si 2.6461 0.0000 3.5128
Si 4.1787 0.0000 1.5423
Si 2.8061 0.0000 7.4207
Si 4.3386 0.0000 5.4503
```

Most intense lines, 2θ from 10° to 90°, low angle first:
d (Å)  Position (°2θ)  Rel. int.
3.936  22.59  49
3.124  28.57  66
2.827  31.65  38
2.759  32.45  98
2.729  32.82  100
2.635  34.03  36
2.572  34.88  45
2.148  42.07  40
1.769  51.66  29
1.710  53.60  38

---

Record 6
This entry pairs a crystal structure of Dy4Si with its calculated powder diffractogram. Radiation: Cu Kα X-rays. Structure: DFT lattice parameters and positions (GGA-PBE).
Intensities are scaled so that the largest is 100.

Structure:
```
5
Lattice="5.4746 0.0000 0.0000 0.0000 5.4746 0.0000 0.0000 0.0000 5.4746" Properties=species:S:1:pos:R:3 pbc="T T T"
Dy 0.0000 0.0000 0.0000
Dy 0.0000 2.7373 2.7373
Dy 2.7373 0.0000 2.7373
Dy 2.7373 2.7373 0.0000
Si 2.7373 2.7373 2.7373
```

Most intense lines, 2θ from 10° to 90°, low angle first:
d (Å)  Position (°2θ)  Rel. int.
5.475  16.19  1
3.161  28.23  100
2.737  32.72  61
1.936  46.94  45
1.651  55.68  46
1.580  58.39  16
1.369  68.56  7
1.256  75.73  18
1.224  78.06  20
1.118  87.24  16

---

Record 7
This entry pairs a crystal structure of Dy5Si4 with its calculated powder diffractogram. Radiation: Cu Kα X-rays. Structure: DFT lattice parameters and positions (GGA-PBE).
Intensities are scaled so that the largest is 100.

Structure:
```
36
Lattice="7.4433 0.0000 0.0000 0.0000 14.5791 0.0000 0.0000 0.0000 7.6892" Properties=species:S:1:pos:R:3 pbc="T T T"
Dy 0.2336 1.4431 1.4123
Dy 0.2336 5.8464 1.4123
Dy 1.0889 10.9343 3.9351
Dy 1.3684 1.7885 5.2266
Dy 1.3684 5.5010 5.2266
Dy 2.3533 9.0781 1.3820
Dy 2.3533 12.7906 1.3820
Dy 2.6328 3.6448 0.0905
Dy 3.4880 8.7327 5.2568
Dy 3.4880 13.1360 5.2568
Dy 3.9553 1.4431 2.4323
Dy 3.9553 5.8464 2.4323
Dy 4.8105 10.9343 7.5986
Dy 5.0901 1.7885 6.3072
Dy 5.0901 5.5010 6.3072
Dy 6.0749 9.0781 2.4626
Dy 6.0749 12.7906 2.4626
Dy 6.3544 3.6448 3.7540
Dy 7.2097 8.7327 6.2769
Dy 7.2097 13.1360 6.2769
Si 0.1433 10.9343 0.7972
Si 1.0739 7.8817 3.6314
Si 1.0739 13.9870 3.6314
Si 1.7630 3.6448 2.8710
Si 1.9587 10.9343 6.7156
Si 2.6477 0.5921 7.4760
Si 2.6477 6.6974 7.4760
Si 3.5783 3.6448 4.6418
Si 3.8650 10.9343 3.0473
Si 4.7956 7.8817 0.2132
Si 4.7956 13.9870 0.2132
Si 5.4847 3.6448 0.9736
Si 5.6803 10.9343 4.8182
Si 6.3694 0.5921 4.0577
Si 6.3694 6.6974 4.0577
Si 7.3000 3.6448 6.8919
```

Most intense lines, 2θ from 10° to 90°, low angle first:
d (Å)  Position (°2θ)  Rel. int.
3.265  27.32  50
2.955  30.25  51
2.795  32.03  64
2.758  32.46  100
2.645  33.89  73
2.630  34.09  46
2.492  36.04  29
2.391  37.63  35
2.361  38.11  35
1.601  57.56  45

---

Record 8
This entry pairs a crystal structure of Dy2Si3 with its calculated powder diffractogram. Radiation: Cu Kα X-rays. Structure: DFT lattice parameters and positions (GGA-PBE).
Intensities are scaled so that the largest is 100.

Structure:
```
10
Lattice="2.0623 -12.2599 0.0000 2.0623 12.2599 0.0000 0.0000 0.0000 3.9462" Properties=species:S:1:pos:R:3 pbc="T T T"
Dy 2.0623 10.5548 2.9597
Dy 2.0623 7.2895 0.9866
Dy 2.0623 -7.2895 2.9597
Dy 2.0623 -10.5548 0.9866
Si 2.0623 4.3518 0.9866
Si 2.0623 2.9211 2.9597
Si 2.0623 0.6086 2.9597
Si 2.0623 -0.6086 0.9866
Si 2.0623 -2.9211 0.9866
Si 2.0623 -4.3518 2.9597
```

Most intense lines, 2θ from 10° to 90°, low angle first:
d (Å)  Position (°2θ)  Rel. int.
4.067  21.85  26
3.318  26.87  65
3.065  29.14  26
2.692  33.28  100
2.670  33.57  60
2.062  43.90  22
1.973  46.01  22
1.756  52.08  21
1.752  52.23  24
1.587  58.13  25

---

Record 9
This entry pairs a crystal structure of SmDySi4 with its calculated powder diffractogram. Radiation: Cu Kα X-rays. Structure: DFT lattice parameters and positions (GGA-PBE).
Intensities are scaled so that the largest is 100.

Structure:
```
24
Lattice="8.3204 0.0000 0.0000 0.0000 14.5888 0.0000 0.0000 0.0000 4.1020" Properties=species:S:1:pos:R:3 pbc="T T T"
Sm 0.9145 1.9551 0.0000
Sm 3.2457 9.2495 0.0000
Sm 5.0747 5.3393 0.0000
Sm 7.4059 12.6337 0.0000
Dy 1.1696 6.0181 0.0000
Dy 2.9906 13.3125 0.0000
Dy 5.3298 1.2763 0.0000
Dy 7.1508 8.5708 0.0000
Si 0.2978 4.2223 2.0510
Si 1.0273 8.2241 2.0510
Si 1.0657 14.1094 2.0510
Si 1.5206 11.7640 2.0510
Si 2.6396 4.4696 2.0510
Si 3.0945 6.8149 2.0510
Si 3.1329 0.9297 2.0510
Si 3.8624 11.5167 2.0510
Si 4.4580 3.0721 2.0510
Si 5.1876 13.6592 2.0510
Si 5.2259 7.7739 2.0510
Si 5.6808 10.1193 2.0510
Si 6.7998 2.8249 2.0510
Si 7.2547 0.4795 2.0510
Si 7.2931 6.3648 2.0510
Si 8.0226 10.3666 2.0510
```

Most intense lines, 2θ from 10° to 90°, low angle first:
d (Å)  Position (°2θ)  Rel. int.
4.102  21.67  39
4.001  22.22  58
3.647  24.41  33
3.161  28.23  46
2.934  30.47  21
2.864  31.23  85
2.726  32.86  64
2.590  34.63  37
2.504  35.86  100
2.051  44.16  31

---

Record 10
This entry pairs a crystal structure of SrDySi4 with its calculated powder diffractogram. Radiation: Cu Kα X-rays. Structure: DFT lattice parameters and positions (GGA-PBE).
Intensities are scaled so that the largest is 100.

Structure:
```
24
Lattice="7.6619 0.0000 0.0000 0.0000 16.0702 0.0000 0.0000 0.0000 4.3161" Properties=species:S:1:pos:R:3 pbc="T T T"
Sr 0.9584 2.5308 0.0000
Sr 2.8725 10.5660 0.0000
Sr 4.7893 5.5043 0.0000
Sr 6.7035 13.5394 0.0000
Dy 1.0033 6.6204 0.0000
Dy 2.8276 14.6555 0.0000
Dy 4.8343 1.4147 0.0000
Dy 6.6585 9.4498 0.0000
Si 0.2239 11.0958 2.1581
Si 0.9018 15.2691 2.1581
Si 1.0050 8.7270 2.1581
Si 1.6766 12.9390 2.1581
Si 2.1543 4.9039 2.1581
Si 2.8260 0.6919 2.1581
Si 2.9291 7.2340 2.1581
Si 3.6071 3.0607 2.1581
Si 4.0548 13.0096 2.1581
Si 4.7328 8.8363 2.1581
Si 4.8359 15.3783 2.1581
Si 5.5076 11.1663 2.1581
Si 5.9852 3.1312 2.1581
Si 6.6569 7.3432 2.1581
Si 6.7600 0.8011 2.1581
Si 7.4380 4.9745 2.1581
```

Most intense lines, 2θ from 10° to 90°, low angle first:
d (Å)  Position (°2θ)  Rel. int.
6.916  12.80  49
3.727  23.88  39
3.558  25.03  33
3.116  28.65  33
2.941  30.40  52
2.821  31.72  100
2.745  32.62  65
2.526  35.54  88
2.443  36.79  35
2.157  41.88  58

---

Record 11
This entry pairs a crystal structure of TbDy3Si4 with its calculated powder diffractogram. Radiation: Cu Kα X-rays. Structure: DFT lattice parameters and positions (GGA-PBE).
Intensities are scaled so that the largest is 100.

Structure:
```
16
Lattice="3.9660 0.0000 0.0000 0.0000 6.2671 0.0000 0.0000 0.0000 15.5922" Properties=species:S:1:pos:R:3 pbc="T T T"
Tb 0.0000 0.0000 0.0000
Tb 1.9830 3.1335 7.7961
Dy 0.0000 0.0000 7.7961
Dy 0.0000 3.1335 4.7657
Dy 0.0000 3.1335 10.8265
Dy 1.9830 0.0000 3.0304
Dy 1.9830 0.0000 12.5618
Dy 1.9830 3.1335 0.0000
Si 0.0000 1.9721 2.0566
Si 0.0000 1.9721 13.5356
Si 0.0000 4.2950 2.0566
Si 0.0000 4.2950 13.5356
Si 1.9830 1.1615 5.7395
Si 1.9830 1.1615 9.8528
Si 1.9830 5.1056 5.7395
Si 1.9830 5.1056 9.8528
```

Most intense lines, 2θ from 10° to 90°, low angle first:
d (Å)  Position (°2θ)  Rel. int.
4.001  22.22  18
3.134  28.48  25
3.079  29.00  100
2.792  32.06  14
2.541  35.32  18
2.442  36.80  17
2.223  40.59  14
1.798  50.76  20
1.685  54.46  18
1.341  70.17  16

---

Record 12
This entry pairs a crystal structure of TbDy2Si6 with its calculated powder diffractogram. Radiation: Cu Kα X-rays. Structure: DFT lattice parameters and positions (GGA-PBE).
Intensities are scaled so that the largest is 100.

Structure:
```
9
Lattice="7.0946 0.0000 0.0000 -3.5473 6.1441 0.0000 0.0000 0.0000 3.9480" Properties=species:S:1:pos:R:3 pbc="T T T"
Tb 0.0000 0.0000 0.0000
Dy 0.0000 4.0961 0.0000
Dy 3.5473 2.0480 0.0000
Si -1.1836 2.0501 1.9740
Si -2.3637 4.0940 1.9740
Si 2.3672 0.0000 1.9740
Si 1.1836 2.0501 1.9740
Si 4.7274 0.0000 1.9740
Si 2.3637 4.0940 1.9740
```

Most intense lines, 2θ from 10° to 90°, low angle first:
d (Å)  Position (°2θ)  Rel. int.
3.948  22.52  13
3.547  25.10  51
2.639  33.98  100
2.048  44.22  32
1.974  45.98  9
1.818  50.18  10
1.725  53.09  14
1.618  56.91  23
1.421  65.70  19
1.270  74.78  20